Diffraction record for Tm4PtBr5. The powder XRD pattern is theoretical, not measured: it uses DFT lattice parameters and positions (PBE) and a wavelength of 1.5418 Å.

Main lines, by angle (15 to 90 degrees two-theta):
2theta, d (Å), intensity
24.82, 3.587, 11
29.01, 3.078, 53
30.81, 2.902, 100
39.14, 2.302, 16
42.34, 2.135, 34
42.77, 2.114, 17
43.31, 2.089, 31
45.46, 1.995, 18
54.83, 1.674, 18
64.19, 1.451, 10

```
10
Lattice="9.4116 -1.9952 0.0000 9.4116 1.9952 0.0000 -1.6406 0.0000 8.3001" Properties=species:S:1:pos:R:3 pbc="T T T"
Tm -0.2697 0.0000 1.8006
Tm 5.1302 0.0000 7.7244
Tm 12.0525 0.0000 0.5757
Tm 17.4524 0.0000 6.4996
Pt 9.4116 0.0000 0.0000
Br 2.6495 0.0000 2.6638
Br 2.0657 0.0000 7.0321
Br 8.5913 0.0000 4.1501
Br 15.1170 0.0000 1.2680
Br 14.5332 0.0000 5.6364
```